[1]
# Ag2BBr
Theoretical X-ray powder pattern, Cu Kα X-rays. Input: a cell relaxed with GGA-PBE.
No peak broadening, texture or thermal motion is included.

Structure:
```
data_Ag2BBr
_chemical_formula_sum 'Ag8 B4 Br4'
_space_group_name_H-M_alt 'F m -3 m'
_space_group_IT_number 225
_space_group_name_Hall '-F 4 2 3'
_cell_length_a 6.680
_cell_length_b 6.680
_cell_length_c 6.680
_cell_angle_alpha 90.00
_cell_angle_beta 90.00
_cell_angle_gamma 90.00
loop_
_atom_site_label
_atom_site_type_symbol
_atom_site_fract_x
_atom_site_fract_y
_atom_site_fract_z
Ag1 Ag 0.250 0.250 0.250
B1 B 0.000 0.000 0.000
Br1 Br 0.000 0.000 0.500
```

Top 10 peaks for 2θ from 10° to 80°, by angle:
d [Å]  I_rel  (hkl)
3.857  134  1 1 1
3.340  235  2 0 0
2.362  1000  2 2 0
2.014  69  3 1 1
1.928  66  2 2 2
1.670  164  4 0 0
1.533  29  3 3 1
1.494  81  4 2 0
1.364  325  4 2 2
1.286  21  5 1 1

[2]
# AgBH8C4N8F4
Theoretical X-ray powder pattern, Cu Kα X-rays. Input: a cell relaxed with GGA-PBE.
No peak broadening, texture or thermal motion is included.

Structure:
```
data_AgBH8C4N8F4
_chemical_formula_sum 'Ag2 B2 H16 C8 N16 F8'
_space_group_name_H-M_alt 'P -1'
_space_group_IT_number 2
_cell_length_a 5.571
_cell_length_b 9.706
_cell_length_c 11.415
_cell_angle_alpha 90.46
_cell_angle_beta 102.59
_cell_angle_gamma 95.66
loop_
_space_group_symop_operation_xyz
'x,y,z'
'-x,-y,-z'
loop_
_atom_site_label
_atom_site_type_symbol
_atom_site_fract_x
_atom_site_fract_y
_atom_site_fract_z
Ag1 Ag 0.026 0.335 0.491
B1 B 0.393 0.206 0.981
H1 H 0.005 0.649 0.092
H2 H 0.081 0.995 0.145
H3 H 0.149 0.052 0.592
H4 H 0.189 0.667 0.796
H5 H 0.203 0.085 0.748
H6 H 0.259 0.539 0.900
H7 H 0.294 0.675 0.188
H8 H 0.343 0.104 0.210
C1 C 0.077 0.498 0.215
C2 C 0.119 0.035 0.325
C3 C 0.445 0.519 0.351
C4 C 0.470 0.165 0.428
N1 N 0.095 0.038 0.671
N2 N 0.128 0.618 0.164
N3 N 0.137 0.577 0.831
N4 N 0.192 0.042 0.221
N5 N 0.230 0.450 0.311
N6 N 0.254 0.100 0.427
N7 N 0.334 0.773 0.563
N8 N 0.357 0.423 0.610
F1 F 0.151 0.138 0.968
F2 F 0.381 0.352 0.993
F3 F 0.450 0.839 0.916
F4 F 0.480 0.178 0.876
```

Top 10 peaks for 2θ from 10° to 80°, by angle:
d [Å]  I_rel  (hkl)
7.407  450  0 1 -1
5.568  1000  0 0 2
5.349  507  1 0 -1
4.492  762  1 0 1
3.750  563  -1 2 1
3.705  762  0 2 -2
3.433  686  1 0 -3
3.273  536  -1 1 3
2.900  724  1 -3 0
2.673  442  -1 3 2

> Which formula does entry 1 have?

Ag2BBr